The following is a calculated powder X-ray diffraction pattern of HfZr2NiAs4Pd3. It was derived from a structure optimized by DFT (GGA-PBE), using Cu Kα (λ = 1.5418 Å).
Intensities are scaled so that the largest is 100.

Cell and atoms:
Cell lengths 6.621, 3.916, 7.662 Å; angles 90.00, 90.23, 90.00 degrees
Sites, in units of the cell vectors:
1 Hf 0.000 0.000 0.000
2 Zr 0.076 0.500 0.621
3 Zr 0.572 0.500 0.490
4 Ni 0.903 0.000 0.365
5 As 0.287 0.500 0.939
6 As 0.290 0.000 0.426
7 As 0.773 0.500 0.195
8 As 0.791 0.000 0.671
9 Pd 0.162 0.500 0.247
10 Pd 0.389 0.000 0.752
11 Pd 0.689 0.500 0.877

Peak list (12 most intense, 2θ = 15–90°, in order of rising 2θ)
- d 5.014, I 29, (1 0 -1)
- d 3.084, I 15, (1 1 1)
- d 2.529, I 100, (2 1 0)
- d 2.401, I 73, (2 1 -1)
- d 2.386, I 15, (1 0 -3)
- d 2.139, I 45, (0 1 3)
- d 2.120, I 16, (3 0 1)
- d 2.036, I 26, (1 1 -3)
- d 1.958, I 37, (0 2 0)
- d 1.916, I 16, (3 0 -2)
- d 1.864, I 12, (3 1 1)
- d 1.369, I 11, (3 2 -2)


The following is a calculated powder X-ray diffraction pattern of Hf2ZrNi2As4Pd2. It was derived from a structure optimized by DFT (GGA-PBE), using Cu Kα (λ = 1.5418 Å).
Intensities are scaled so that the largest is 100.

Cell and atoms:
Cell lengths 6.575, 3.882, 7.460 Å; angles 90.00, 90.85, 90.00 degrees
Sites, in units of the cell vectors:
1 Hf 0.000 0.000 0.000
2 Hf 0.442 0.500 0.516
3 Zr 0.513 0.000 0.131
4 Ni 0.350 0.500 0.876
5 Ni 0.595 0.000 0.765
6 As 0.219 0.000 0.713
7 As 0.226 0.500 0.182
8 As 0.724 0.500 0.915
9 As 0.726 0.000 0.466
10 Pd 0.122 0.000 0.389
11 Pd 0.823 0.500 0.262

Peak list (12 most intense, 2θ = 15–90°, in order of rising 2θ)
- d 4.969, I 32, (1 0 -1)
- d 4.896, I 30, (1 0 1)
- d 3.342, I 31, (1 1 0)
- d 2.508, I 56, (2 1 0)
- d 2.499, I 24, (1 1 -2)
- d 2.481, I 100, (1 1 2)
- d 2.386, I 90, (2 1 -1)
- d 2.369, I 52, (2 1 1)
- d 2.337, I 34, (1 0 -3)
- d 2.094, I 92, (0 1 3)
- d 2.002, I 20, (1 1 -3)
- d 1.941, I 59, (0 2 0)